# 1
Structure and simulated X-ray powder pattern of Cs2OsF7 (a crystal structure in Alexandria, relaxed with GGA-PBE; CuKα).

Top 12 peaks for 2θ = 10–90°, low angle first:
- hkl 1 1 0, 15.49°, I 12
- hkl 0 0 2, 22.79°, I 100
- hkl 0 2 0, 26.66°, I 15
- hkl 3 1 0, 27.67°, I 34
- hkl 0 2 1, 29.05°, I 15
- hkl 0 2 2, 35.34°, I 17
- hkl 3 1 -4, 36.66°, I 19
- hkl 6 0 -2, 36.93°, I 17
- hkl 6 0 -4, 37.44°, I 10
- hkl 3 3 -1, 44.71°, I 11
- hkl 3 1 2, 46.12°, I 14
- hkl 0 0 4, 46.54°, I 11

Structural model:
```
data_Cs2OsF7
_chemical_formula_sum 'Cs8 Os4 F28'
_cell_length_a 15.260
_cell_length_b 6.688
_cell_length_c 10.795
_cell_angle_alpha 90.00
_cell_angle_beta 133.68
_cell_angle_gamma 90.00
_symmetry_space_group_name_H-M 'C 1 2/c 1'
_symmetry_Int_Tables_number 15
_symmetry_space_group_name_Hall '-C 2yc'
loop_
_atom_site_label
_atom_site_type_symbol
_atom_site_fract_x
_atom_site_fract_y
_atom_site_fract_z
Cs1 Cs 0.171 0.063 0.264
Os1 Os 0.000 0.461 0.750
F1 F 0.000 0.164 0.750
F2 F 0.067 0.298 0.399
F3 F 0.078 0.372 0.978
F4 F 0.159 0.459 0.819
```

# 2
Structure and simulated X-ray powder pattern of CsPF5 (a crystal structure in Alexandria, relaxed with GGA-PBE; CuKα).

Top 12 peaks for 2θ = 10–90°, low angle first:
- hkl 1 1 -1, 17.28°, I 11
- hkl 1 1 1, 23.63°, I 60
- hkl 0 2 0, 24.20°, I 28
- hkl 3 1 -1, 24.84°, I 100
- hkl 2 2 0, 29.64°, I 12
- hkl 2 2 -2, 34.97°, I 11
- hkl 3 1 1, 37.68°, I 13
- hkl 0 2 2, 38.27°, I 15
- hkl 5 1 -1, 39.25°, I 11
- hkl 3 1 -3, 39.69°, I 11
- hkl 4 2 0, 42.27°, I 26
- hkl 3 3 -1, 42.96°, I 10

Structural model:
```
data_CsPF5
_chemical_formula_sum 'Cs4 P4 F20'
_cell_length_a 12.345
_cell_length_b 7.355
_cell_length_c 7.179
_cell_angle_alpha 90.00
_cell_angle_beta 121.59
_cell_angle_gamma 90.00
_symmetry_space_group_name_H-M 'C 1 c 1'
_symmetry_Int_Tables_number 9
_symmetry_space_group_name_Hall 'C -2yc'
loop_
_atom_site_label
_atom_site_type_symbol
_atom_site_fract_x
_atom_site_fract_y
_atom_site_fract_z
Cs1 Cs 0.000 0.231 0.000
P1 P 0.226 0.228 0.748
F1 F 0.108 0.156 0.496
F2 F 0.144 0.422 0.714
F3 F 0.300 0.320 0.642
F4 F 0.302 0.028 0.784
F5 F 0.340 0.297 0.999
```

# 3
Structure and simulated X-ray powder pattern of Cs4PF (a crystal structure in Alexandria, relaxed with GGA-PBE; CuKα).

Top 12 peaks for 2θ = 10–90°, low angle first:
- hkl 2 0 0, 15.65°, I 29
- hkl 2 1 1, 19.54°, I 81
- hkl 2 2 0, 22.20°, I 40
- hkl 2 0 2, 23.38°, I 61
- hkl 3 0 1, 25.13°, I 100
- hkl 1 0 3, 27.20°, I 53
- hkl 3 2 1, 29.74°, I 27
- hkl 4 0 0, 31.56°, I 30
- hkl 3 3 2, 37.98°, I 56
- hkl 3 1 4, 43.35°, I 45
- hkl 6 0 0, 48.19°, I 34
- hkl 5 3 4, 59.68°, I 27

Structural model:
```
data_Cs4PF
_chemical_formula_sum 'Cs16 P4 F4'
_cell_length_a 11.326
_cell_length_b 11.326
_cell_length_c 10.275
_cell_angle_alpha 90.00
_cell_angle_beta 90.00
_cell_angle_gamma 90.00
_symmetry_space_group_name_H-M 'I 41/a m d'
_symmetry_Int_Tables_number 141
loop_
_symmetry_equiv_pos_as_xyz
'x,y,z'
'-x,-y,-z'
'-y+1/4,x+3/4,z+1/4'
'y+1/4,-x+3/4,-z+1/4'
'-x+1/2,-y,z+1/2'
'x+1/2,y,-z+1/2'
'y+1/4,-x+1/4,z+3/4'
'-y+1/4,x+1/4,-z+3/4'
'x,-y,-z'
'-x,y,z'
'-y+1/4,-x+1/4,-z+3/4'
'y+1/4,x+1/4,z+3/4'
'-x+1/2,y,-z+1/2'
'x+1/2,-y,z+1/2'
'y+1/4,x+3/4,-z+1/4'
'-y+1/4,-x+3/4,z+1/4'
'x+1/2,y+1/2,z+1/2'
'-x+1/2,-y+1/2,-z+1/2'
'-y+3/4,x+1/4,z+3/4'
'y+3/4,-x+1/4,-z+3/4'
'-x,-y+1/2,z'
'x,y+1/2,-z'
'y+3/4,-x+3/4,z+1/4'
'-y+3/4,x+3/4,-z+1/4'
'x+1/2,-y+1/2,-z+1/2'
'-x+1/2,y+1/2,z+1/2'
'-y+3/4,-x+3/4,-z+1/4'
'y+3/4,x+3/4,z+1/4'
'-x,y+1/2,-z'
'x,-y+1/2,z'
'y+3/4,x+1/4,-z+3/4'
'-y+3/4,-x+1/4,z+3/4'
loop_
_atom_site_label
_atom_site_type_symbol
_atom_site_fract_x
_atom_site_fract_y
_atom_site_fract_z
Cs1 Cs 0.000 0.071 0.176
P1 P 0.000 0.250 0.875
F1 F 0.000 0.250 0.375
```

# 4
Structure and simulated X-ray powder pattern of Cs2PPbF6 (a crystal structure in Alexandria, relaxed with GGA-PBE; CuKα).

Top 12 peaks for 2θ = 10–90°, low angle first:
- hkl 1 0 1, 16.06°, I 35
- hkl 1 1 2, 25.25°, I 100
- hkl 2 0 0, 28.51°, I 36
- hkl 0 0 4, 30.63°, I 25
- hkl 2 1 1, 32.89°, I 19
- hkl 2 2 0, 40.76°, I 23
- hkl 2 0 4, 42.34°, I 23
- hkl 3 1 2, 48.55°, I 33
- hkl 1 1 6, 51.29°, I 17
- hkl 2 2 4, 51.84°, I 21
- hkl 3 1 6, 67.49°, I 14
- hkl 4 2 4, 75.28°, I 10

Structural model:
```
data_Cs2PPbF6
_chemical_formula_sum 'Cs4 P2 Pb2 F12'
_cell_length_a 6.262
_cell_length_b 6.262
_cell_length_c 11.673
_cell_angle_alpha 90.00
_cell_angle_beta 90.00
_cell_angle_gamma 90.00
_symmetry_space_group_name_H-M 'I 4/m m m'
_symmetry_Int_Tables_number 139
_symmetry_space_group_name_Hall '-I 4 2'
loop_
_atom_site_label
_atom_site_type_symbol
_atom_site_fract_x
_atom_site_fract_y
_atom_site_fract_z
Cs1 Cs 0.000 0.500 0.250
P1 P 0.000 0.000 0.000
Pb1 Pb 0.000 0.000 0.500
F1 F 0.000 0.000 0.296
F2 F 0.219 0.219 0.000
```

# 5
Structure and simulated X-ray powder pattern of Cs2TaPF6 (a crystal structure in Alexandria, relaxed with GGA-PBE; CuKα).

Top 12 peaks for 2θ = 10–90°, low angle first:
- hkl 1 0 1, 14.92°, I 54
- hkl 1 1 2, 24.19°, I 100
- hkl 2 0 0, 25.05°, I 45
- hkl 2 1 1, 29.29°, I 12
- hkl 0 0 4, 33.19°, I 16
- hkl 2 2 0, 35.73°, I 27
- hkl 2 0 4, 42.03°, I 18
- hkl 3 1 2, 43.61°, I 35
- hkl 2 2 4, 49.56°, I 17
- hkl 1 1 6, 54.13°, I 14
- hkl 3 1 6, 66.56°, I 13
- hkl 0 0 8, 69.66°, I 13

Structural model:
```
data_Cs2TaPF6
_chemical_formula_sum 'Cs4 Ta2 P2 F12'
_cell_length_a 7.109
_cell_length_b 7.109
_cell_length_c 10.797
_cell_angle_alpha 90.00
_cell_angle_beta 90.00
_cell_angle_gamma 90.00
_symmetry_space_group_name_H-M 'I 4/m m m'
_symmetry_Int_Tables_number 139
_symmetry_space_group_name_Hall '-I 4 2'
loop_
_atom_site_label
_atom_site_type_symbol
_atom_site_fract_x
_atom_site_fract_y
_atom_site_fract_z
Cs1 Cs 0.000 0.500 0.250
Ta1 Ta 0.000 0.000 0.000
P1 P 0.000 0.000 0.500
F1 F 0.000 0.000 0.179
F2 F 0.192 0.192 0.000
```

# 6
Structure and simulated X-ray powder pattern of CsTlPF6 (a crystal structure in Alexandria, relaxed with GGA-PBE; CuKα).

Top 12 peaks for 2θ = 10–90°, low angle first:
- hkl 0 0 1, 15.28°, I 24
- hkl 0 1 1, 16.42°, I 24
- hkl 1 0 -1, 23.99°, I 44
- hkl 1 1 1, 24.53°, I 100
- hkl 1 1 0, 24.67°, I 43
- hkl 0 1 2, 27.31°, I 90
- hkl 0 2 1, 29.28°, I 34
- hkl 0 2 2, 33.18°, I 27
- hkl 1 0 2, 35.83°, I 33
- hkl 2 0 0, 36.87°, I 24
- hkl 1 2 2, 38.00°, I 27
- hkl 1 2 0, 38.20°, I 37

Structural model:
```
data_CsTlPF6
_chemical_formula_sum 'Cs1 Tl1 P1 F6'
_cell_length_a 4.876
_cell_length_b 6.101
_cell_length_c 6.550
_cell_angle_alpha 62.31
_cell_angle_beta 89.35
_cell_angle_gamma 89.99
_symmetry_space_group_name_H-M 'P 1'
_symmetry_Int_Tables_number 1
_symmetry_space_group_name_Hall 'P 1'
loop_
_atom_site_label
_atom_site_type_symbol
_atom_site_fract_x
_atom_site_fract_y
_atom_site_fract_z
Cs1 Cs 0.000 0.000 0.000
Tl1 Tl 0.535 0.648 0.705
P1 P 0.319 0.336 0.327
F1 F 0.072 0.555 0.890
F2 F 0.124 0.075 0.454
F3 F 0.124 0.471 0.454
F4 F 0.518 0.601 0.200
F5 F 0.519 0.199 0.200
F6 F 0.520 0.224 0.552
```

# 7
Structure and simulated X-ray powder pattern of Cs3PaF6 (a crystal structure in Alexandria, relaxed with GGA-PBE; CuKα).

Top 12 peaks for 2θ = 10–90°, low angle first:
- hkl 1 1 1, 14.73°, I 23
- hkl 0 2 2, 22.30°, I 95
- hkl 2 0 2, 23.88°, I 100
- hkl 2 2 0, 26.16°, I 51
- hkl 0 0 4, 27.86°, I 26
- hkl 0 4 0, 35.24°, I 23
- hkl 2 2 4, 38.58°, I 53
- hkl 2 4 2, 43.02°, I 40
- hkl 4 2 2, 45.67°, I 28
- hkl 2 0 6, 46.95°, I 17
- hkl 4 0 4, 48.87°, I 15
- hkl 2 4 6, 60.04°, I 16

Structural model:
```
data_Cs3PaF6
_chemical_formula_sum 'Cs12 Pa4 F24'
_cell_length_a 9.165
_cell_length_b 10.186
_cell_length_c 12.811
_cell_angle_alpha 90.00
_cell_angle_beta 90.00
_cell_angle_gamma 90.00
_symmetry_space_group_name_H-M 'F m m m'
_symmetry_Int_Tables_number 69
_symmetry_space_group_name_Hall '-F 2 2'
loop_
_atom_site_label
_atom_site_type_symbol
_atom_site_fract_x
_atom_site_fract_y
_atom_site_fract_z
Cs1 Cs 0.000 0.000 0.000
Cs2 Cs 0.250 0.250 0.250
Pa1 Pa 0.000 0.000 0.500
F1 F 0.000 0.217 0.500
F2 F 0.182 0.000 0.383
```

# 8
Structure and simulated X-ray powder pattern of CsPaF4 (a crystal structure in Alexandria, relaxed with GGA-PBE; CuKα).

Top 12 peaks for 2θ = 10–90°, low angle first:
- hkl 1 1 0, 13.57°, I 19
- hkl 2 0 0, 19.23°, I 100
- hkl 1 0 1, 25.07°, I 63
- hkl 2 2 0, 27.33°, I 26
- hkl 2 1 1, 31.79°, I 63
- hkl 3 0 1, 37.42°, I 19
- hkl 4 0 0, 39.03°, I 24
- hkl 3 2 1, 42.41°, I 24
- hkl 4 2 0, 43.87°, I 23
- hkl 4 1 1, 46.95°, I 23
- hkl 5 0 1, 55.18°, I 21
- hkl 1 3 2, 57.35°, I 22

Structural model:
```
data_CsPaF4
_chemical_formula_sum 'Cs2 Pa2 F8'
_cell_length_a 9.230
_cell_length_b 9.230
_cell_length_c 3.849
_cell_angle_alpha 90.00
_cell_angle_beta 90.00
_cell_angle_gamma 90.00
_symmetry_space_group_name_H-M 'I -4'
_symmetry_Int_Tables_number 82
_symmetry_space_group_name_Hall 'I -4'
loop_
_atom_site_label
_atom_site_type_symbol
_atom_site_fract_x
_atom_site_fract_y
_atom_site_fract_z
Cs1 Cs 0.000 0.000 0.000
Pa1 Pa 0.000 0.500 0.750
F1 F 0.006 0.274 0.608
```

# 9
Structure and simulated X-ray powder pattern of CsPaF5 (a crystal structure in Alexandria, relaxed with GGA-PBE; CuKα).

Top 12 peaks for 2θ = 10–90°, low angle first:
- hkl 1 -1 1, 20.10°, I 100
- hkl 1 1 0, 24.30°, I 54
- hkl 0 2 -1, 24.42°, I 52
- hkl 0 0 2, 28.37°, I 13
- hkl 2 -2 0, 28.78°, I 12
- hkl 2 0 1, 37.81°, I 27
- hkl -3 1 2, 38.04°, I 23
- hkl 2 2 -2, 40.03°, I 11
- hkl 2 -2 2, 40.93°, I 12
- hkl 1 3 -1, 45.15°, I 12
- hkl 3 1 -3, 45.23°, I 12
- hkl 1 -1 3, 45.67°, I 12

Structural model:
```
data_CsPaF5
_chemical_formula_sum 'Cs2 Pa2 F10'
_cell_length_a 7.657
_cell_length_b 7.678
_cell_length_c 7.730
_cell_angle_alpha 109.88
_cell_angle_beta 110.05
_cell_angle_gamma 108.04
_symmetry_space_group_name_H-M 'P -1'
_symmetry_Int_Tables_number 2
_symmetry_space_group_name_Hall '-P 1'
loop_
_atom_site_label
_atom_site_type_symbol
_atom_site_fract_x
_atom_site_fract_y
_atom_site_fract_z
Cs1 Cs 0.244 0.262 0.006
Pa1 Pa 0.000 0.500 0.500
Pa2 Pa 0.500 0.000 0.500
F1 F 0.032 0.785 0.725
F2 F 0.231 0.688 0.419
F3 F 0.261 0.525 0.753
F4 F 0.272 0.009 0.247
F5 F 0.438 0.191 0.725
```

# 10
Structure and simulated X-ray powder pattern of Cs3PbF5 (a crystal structure in Alexandria, relaxed with GGA-PBE; CuKα).

Top 12 peaks for 2θ = 10–90°, low angle first:
- hkl 0 0 4, 24.49°, I 37
- hkl 2 0 2, 25.08°, I 100
- hkl 2 1 1, 25.23°, I 19
- hkl 2 1 3, 30.72°, I 32
- hkl 2 2 0, 31.09°, I 30
- hkl 3 1 2, 37.06°, I 12
- hkl 2 2 4, 39.97°, I 27
- hkl 2 0 6, 43.47°, I 27
- hkl 4 0 2, 46.38°, I 18
- hkl 0 0 8, 50.16°, I 18
- hkl 4 2 2, 51.81°, I 18
- hkl 4 2 4, 56.56°, I 13

Structural model:
```
data_Cs3PbF5
_chemical_formula_sum 'Cs12 Pb4 F20'
_cell_length_a 8.137
_cell_length_b 8.137
_cell_length_c 14.538
_cell_angle_alpha 90.00
_cell_angle_beta 90.00
_cell_angle_gamma 90.00
_symmetry_space_group_name_H-M 'I 4/m c m'
_symmetry_Int_Tables_number 140
_symmetry_space_group_name_Hall '-I 4 2c'
loop_
_atom_site_label
_atom_site_type_symbol
_atom_site_fract_x
_atom_site_fract_y
_atom_site_fract_z
Cs1 Cs 0.000 0.000 0.250
Cs2 Cs 0.180 0.320 0.000
Pb1 Pb 0.000 0.500 0.250
F1 F 0.000 0.000 0.000
F2 F 0.158 0.342 0.348
```

# 11
Structure and simulated X-ray powder pattern of Cs2PbF5 (a crystal structure in Alexandria, relaxed with GGA-PBE; CuKα).

Top 12 peaks for 2θ = 10–90°, low angle first:
- hkl 1 1 0, 14.60°, I 16
- hkl 1 1 -2, 23.32°, I 100
- hkl 3 1 0, 24.37°, I 99
- hkl 0 2 0, 25.95°, I 30
- hkl 4 0 -2, 28.34°, I 22
- hkl 2 0 2, 28.46°, I 22
- hkl 2 2 2, 38.85°, I 64
- hkl 2 0 -4, 39.28°, I 20
- hkl 1 3 -2, 44.23°, I 15
- hkl 3 3 0, 44.83°, I 22
- hkl 5 1 -4, 46.68°, I 17
- hkl 1 1 4, 46.84°, I 17

Structural model:
```
data_Cs2PbF5
_chemical_formula_sum 'Cs8 Pb4 F20'
_cell_length_a 13.751
_cell_length_b 6.866
_cell_length_c 9.176
_cell_angle_alpha 90.00
_cell_angle_beta 109.73
_cell_angle_gamma 90.00
_symmetry_space_group_name_H-M 'C 1 2/c 1'
_symmetry_Int_Tables_number 15
_symmetry_space_group_name_Hall '-C 2yc'
loop_
_atom_site_label
_atom_site_type_symbol
_atom_site_fract_x
_atom_site_fract_y
_atom_site_fract_z
Cs1 Cs 0.171 0.001 0.336
Pb1 Pb 0.000 0.500 0.000
F1 F 0.000 0.499 0.250
F2 F 0.126 0.271 0.564
F3 F 0.126 0.272 0.063
```

# 12
Structure and simulated X-ray powder pattern of Cs3Pb2F9 (a crystal structure in Alexandria, relaxed with GGA-PBE; CuKα).

Top 12 peaks for 2θ = 10–90°, low angle first:
- hkl 0 0 1, 10.47°, I 16
- hkl 1 0 0, 15.18°, I 26
- hkl 1 0 1, 18.47°, I 26
- hkl 1 0 2, 26.04°, I 100
- hkl 1 1 0, 26.44°, I 85
- hkl 0 2 2, 37.45°, I 60
- hkl 0 1 4, 45.68°, I 14
- hkl 2 1 2, 46.43°, I 44
- hkl 3 0 0, 46.67°, I 18
- hkl 2 0 4, 53.56°, I 14
- hkl 2 2 0, 54.44°, I 19
- hkl 1 3 2, 61.32°, I 24

Structural model:
```
data_Cs3Pb2F9
_chemical_formula_sum 'Cs3 Pb2 F9'
_cell_length_a 6.7416
_cell_length_b 6.7416
_cell_length_c 8.4472
_cell_angle_alpha 90.00
_cell_angle_beta 90.00
_cell_angle_gamma 120.00
_symmetry_space_group_name_H-M 'P -3 m 1'
_symmetry_Int_Tables_number 164
_symmetry_space_group_name_Hall '-P 3 2"'
loop_
_atom_site_label
_atom_site_type_symbol
_atom_site_fract_x
_atom_site_fract_y
_atom_site_fract_z
Cs1 Cs 0.0000 0.0000 0.0000
Cs2 Cs 0.3333 0.6667 0.3730
Pb1 Pb 0.3333 0.6667 0.8451
F1 F 0.0000 0.5000 0.0000
F2 F 0.1820 0.3641 0.6956
```